Entry 1:
The following is a simulated powder diffraction line list of ZrH. It was derived from a crystal structure in the Materials Project, relaxed with PBE, using Cu Kα.

Principal peaks in the range 2θ from 10° to 90°, by intensity:
Position (°2θ)  I_rel
32.58  100
38.73  30
66.25  24
53.80  24
35.86  19
62.38  15
88.64  11
68.24  11
55.93  10
88.74  5

Crystal structure
```
ZrH
1.0
-1.6439 1.6439 2.5044
1.6439 -1.6439 2.5044
1.6439 1.6439 -2.5044
Zr H
1 1
Direct
0.0000 0.0000 0.0000
0.7500 0.2500 0.5000
```

Entry 2:
The following is a simulated powder diffraction line list of LiCuO2. It was derived from a crystal structure in the Materials Project, relaxed with PBE, using Cu Kα.

Principal peaks in the range 2θ from 10° to 90°, by intensity:
Position (°2θ)  I_rel
18.57  100
43.57  77
35.77  49
63.17  22
63.45  21
37.44  19
47.74  18
66.47  16
57.74  15
79.87  10

Crystal structure
```
LiCuO2
1.0
1.4718 0.8498 4.7786
-1.4718 0.8498 4.7786
0.0000 -1.6995 4.7786
Li Cu O
1 1 2
Direct
0.0000 0.0000 0.0000
0.5000 0.5000 0.5000
0.2436 0.2436 0.2436
0.7564 0.7564 0.7564
```

Entry 3:
The following is a simulated powder diffraction line list of V. It was derived from a crystal structure in the Materials Project, relaxed with PBE, using Cu Kα.

Principal peaks in the range 2θ from 10° to 90°, by intensity:
Position (°2θ)  I_rel
44.52  100
38.10  36
39.97  23
73.33  19
85.07  17
56.41  15
72.60  13
89.31  11
81.52  3
86.26  2

Crystal structure
```
V
1.0
2.6043 0.0000 0.0000
-1.3021 2.2554 0.0000
0.0000 0.0000 4.7233
V
2
Direct
0.3333 0.6667 0.2500
0.6667 0.3333 0.7500
```

Entry 4:
The following is a simulated powder diffraction line list of Ca2ZnAs2H4O10. It was derived from a crystal structure in the Materials Project, relaxed with PBE, using Cu Kα.

Principal peaks in the range 2θ from 10° to 90°, by intensity:
Position (°2θ)  I_rel
29.51  100
26.15  71
31.62  59
31.73  47
27.85  44
25.89  34
13.54  33
33.93  31
17.21  30
27.28  28

Crystal structure
```
Ca2ZnAs2H4O10
1.0
5.9025 0.0000 0.0000
0.0000 13.0777 0.0000
-1.8050 0.0000 5.4660
Ca Zn As H O
4 2 4 8 20
Direct
0.0632 0.1229 0.2313
0.0632 0.3771 0.7313
0.9368 0.6229 0.2687
0.9368 0.8771 0.7687
0.5000 0.0000 0.0000
0.5000 0.5000 0.5000
0.2803 0.6206 0.9369
0.2803 0.8794 0.4369
0.7197 0.1206 0.5631
0.7197 0.3794 0.0631
0.1991 0.1482 0.8001
0.1991 0.3518 0.3001
0.4044 0.2064 0.9994
0.4044 0.2936 0.4994
0.5956 0.7064 0.5006
0.5956 0.7936 0.0006
0.8009 0.6482 0.6999
0.8009 0.8518 0.1999
0.0497 0.7048 0.9219
0.0497 0.7952 0.4219
0.2151 0.5516 0.6668
0.2151 0.9484 0.1668
0.2582 0.5382 0.1658
0.2582 0.9618 0.6658
0.3147 0.1381 0.9674
0.3147 0.3619 0.4674
0.4463 0.1766 0.4937
0.4463 0.3234 0.9937
0.5537 0.6766 0.0063
0.5537 0.8234 0.5063
0.6853 0.6381 0.5326
0.6853 0.8619 0.0326
0.7418 0.0382 0.3342
0.7418 0.4618 0.8342
0.7849 0.0516 0.8332
0.7849 0.4484 0.3332
0.9503 0.2048 0.5781
0.9503 0.2952 0.0781
```

Entry 5:
The following is a simulated powder diffraction line list of PuAsO4. It was derived from a crystal structure in the Materials Project, relaxed with PBE, using Cu Kα.

Principal peaks in the range 2θ from 10° to 90°, by intensity:
Position (°2θ)  I_rel
28.04  100
30.26  66
26.35  56
20.37  35
45.48  31
24.72  28
46.83  28
51.27  25
32.73  24
29.88  23

Crystal structure
```
PuAsO4
1.0
6.7235 0.0000 0.0000
0.0000 7.2121 0.0000
-4.8278 0.0000 6.7638
Pu As O
4 4 16
Direct
0.1884 0.1563 0.2854
0.1884 0.3437 0.7854
0.8116 0.6563 0.2146
0.8116 0.8437 0.7146
0.3068 0.6643 0.1963
0.3068 0.8357 0.6963
0.6932 0.1643 0.3037
0.6932 0.3357 0.8037
0.0978 0.6559 0.6057
0.0978 0.8441 0.1057
0.1698 0.0040 0.7508
0.1698 0.4960 0.2508
0.3503 0.6068 0.0166
0.3503 0.8932 0.5166
0.3922 0.2174 0.1192
0.3922 0.2826 0.6192
0.6078 0.7174 0.3808
0.6078 0.7826 0.8808
0.6497 0.1068 0.4834
0.6497 0.3932 0.9834
0.8302 0.5040 0.7492
0.8302 0.9960 0.2492
0.9022 0.1559 0.8943
0.9022 0.3441 0.3943
```

Entry 6:
The following is a simulated powder diffraction line list of KTiF4. It was derived from a crystal structure in the Materials Project, relaxed with PBE, using Cu Kα.

Principal peaks in the range 2θ from 10° to 90°, by intensity:
Position (°2θ)  I_rel
23.33  100
26.90  99
28.56  50
45.29  47
14.17  46
26.00  45
41.99  45
49.57  36
46.45  29
53.47  28

Crystal structure
```
KTiF4
1.0
12.5031 0.0000 0.0000
0.0000 7.8196 0.0000
0.0000 0.0000 8.0086
K Ti F
8 8 32
Direct
0.0144 0.2500 0.1229
0.0266 0.2500 0.6242
0.4734 0.7500 0.1242
0.4856 0.7500 0.6229
0.5144 0.2500 0.3771
0.5266 0.2500 0.8758
0.9734 0.7500 0.3758
0.9856 0.7500 0.8771
0.2482 0.5006 0.3726
0.2482 0.9994 0.3726
0.2518 0.0006 0.8726
0.2518 0.4994 0.8726
0.7482 0.5006 0.1274
0.7482 0.9994 0.1274
0.7518 0.0006 0.6274
0.7518 0.4994 0.6274
0.0966 0.0486 0.3653
0.0966 0.4514 0.3653
0.1006 0.0511 0.8821
0.1006 0.4489 0.8821
0.2112 0.7500 0.4035
0.2163 0.7500 0.8406
0.2466 0.0341 0.6226
0.2466 0.4659 0.6226
0.2534 0.5341 0.1226
0.2534 0.9659 0.1226
0.2837 0.2500 0.3406
0.2888 0.2500 0.9035
0.3994 0.5511 0.3821
0.3994 0.9489 0.3821
0.4034 0.5486 0.8653
0.4034 0.9514 0.8653
0.5966 0.0486 0.1347
0.5966 0.4514 0.1347
0.6006 0.0511 0.6179
0.6006 0.4489 0.6179
0.7112 0.7500 0.0965
0.7163 0.7500 0.6594
0.7466 0.0341 0.8774
0.7466 0.4659 0.8774
0.7534 0.5341 0.3774
0.7534 0.9659 0.3774
0.7837 0.2500 0.1594
0.7888 0.2500 0.5965
0.8994 0.5511 0.1179
0.8994 0.9489 0.1179
0.9034 0.5486 0.6347
0.9034 0.9514 0.6347
```

Entry 7:
The following is a simulated powder diffraction line list of TbGaRh2. It was derived from a crystal structure in the Materials Project, relaxed with PBE, using Cu Kα.

Principal peaks in the range 2θ from 10° to 90°, by intensity:
Position (°2θ)  I_rel
39.31  100
71.26  34
56.81  17
84.55  11
23.77  9
46.46  5
62.44  2
89.42  2
76.33  1

Crystal structure
```
TbGaRh2
1.0
0.0000 3.2415 3.2415
3.2415 0.0000 3.2415
3.2415 3.2415 0.0000
Tb Ga Rh
1 1 2
Direct
0.0000 0.0000 0.0000
0.5000 0.5000 0.5000
0.2500 0.2500 0.2500
0.7500 0.7500 0.7500
```

Entry 8:
The following is a simulated powder diffraction line list of Tb3Pm. It was derived from a crystal structure in the Materials Project, relaxed with PBE, using Cu Kα.

Principal peaks in the range 2θ from 10° to 90°, by intensity:
Position (°2θ)  I_rel
30.51  100
35.38  51
60.51  43
50.89  36
82.93  18
63.50  12
85.57  11
85.63  6
74.88  4
74.77  2

Crystal structure
```
Tb3Pm
1.0
-2.5363 2.5363 5.0788
2.5363 -2.5363 5.0788
2.5363 2.5363 -5.0788
Tb Pm
3 1
Direct
0.0000 0.0000 0.0000
0.2500 0.7500 0.5000
0.7500 0.2500 0.5000
0.5000 0.5000 0.0000
```

Entry 9:
The following is a simulated powder diffraction line list of UGa2Cu3. It was derived from a crystal structure in the Materials Project, relaxed with PBE, using Cu Kα.

Principal peaks in the range 2θ from 10° to 90°, by intensity:
Position (°2θ)  I_rel
41.11  100
29.67  60
34.22  39
39.73  37
65.98  25
45.07  22
61.61  20
89.22  19
58.50  18
57.78  18

Crystal structure
```
UGa2Cu3
1.0
5.2399 0.0000 0.0000
-2.6200 4.5379 0.0000
0.0000 0.0000 4.0234
U Ga Cu
1 2 3
Direct
0.0000 0.0000 0.0000
0.3333 0.6667 0.0000
0.6667 0.3333 0.0000
0.0000 0.5000 0.5000
0.5000 0.0000 0.5000
0.5000 0.5000 0.5000
```

Entry 10:
The following is a simulated powder diffraction line list of Mg7Si4. It was derived from a crystal structure in the Materials Project, relaxed with PBE, using Cu Kα.

Principal peaks in the range 2θ from 10° to 90°, by intensity:
Position (°2θ)  I_rel
36.59  100
37.03  62
38.19  37
40.07  37
36.20  27
34.23  21
12.01  18
64.11  14
51.30  14
43.34  13

Crystal structure
```
Mg7Si4
1.0
4.8862 0.0000 0.0000
0.2698 6.0354 0.0000
1.0509 2.7306 14.7323
Mg Si
14 8
Direct
0.0000 0.0000 0.0000
0.0074 0.5038 0.9942
0.1829 0.5063 0.6641
0.2808 0.6782 0.4517
0.2934 0.1798 0.4513
0.4655 0.1675 0.0947
0.5035 0.6575 0.1212
0.5179 0.3394 0.8852
0.5409 0.8203 0.9048
0.6607 0.1388 0.7194
0.7426 0.8672 0.5627
0.7698 0.3843 0.5298
0.7832 0.5234 0.3209
0.8253 0.0129 0.3533
0.0868 0.6978 0.8120
0.1237 0.1000 0.8128
0.1925 0.0316 0.6412
0.3493 0.2848 0.2665
0.3611 0.8766 0.2744
0.6451 0.6640 0.7389
0.9290 0.3086 0.1712
0.9355 0.8951 0.1821
```